# Ca3Fe5Sn3O16
Calculated PXRD pattern, Cu Kα X-rays. Input: a DFT-relaxed cell (PBE+U, the Materials Project).

Peak list (10 most intense, 5 to 70 degrees two-theta, most intense first)
- hkl 1 1 -2, d = 2.614 Å, 34.30°, I = 100
- hkl 3 0 -2, d = 2.729 Å, 32.82°, I = 60
- hkl 2 0 0, d = 4.717 Å, 18.81°, I = 36
- hkl 1 0 -2, d = 4.743 Å, 18.71°, I = 35
- hkl 0 0 4, d = 2.743 Å, 32.64°, I = 32
- hkl 2 1 4, d = 1.891 Å, 48.11°, I = 30
- hkl 4 1 0, d = 1.885 Å, 48.28°, I = 22
- hkl 4 1 -4, d = 1.554 Å, 59.49°, I = 21
- hkl 3 2 -2, d = 1.361 Å, 69.03°, I = 17
- hkl 1 1 -6, d = 1.558 Å, 59.31°, I = 15

Structural model:
```
Ca3Fe5Sn3O16
1.0
9.435 0.000 0.000
0.000 3.136 0.000
-0.022 0.000 10.972
Ca Fe Sn O
3 5 3 16
direct
0.000 0.000 0.000
0.012 0.500 0.491
0.494 0.000 0.195
0.168 0.500 0.235
0.316 0.000 0.962
0.326 0.000 0.444
0.821 0.000 0.228
0.833 0.000 0.735
0.203 0.500 0.731
0.662 0.500 0.939
0.678 0.500 0.460
0.049 0.000 0.679
0.130 0.000 0.364
0.163 0.500 0.919
0.228 0.000 0.130
0.261 0.500 0.549
0.332 0.000 0.776
0.365 0.500 0.320
0.461 0.500 0.017
0.540 0.000 0.486
0.640 0.000 0.818
0.667 0.500 0.270
0.726 0.000 0.058
0.793 0.500 0.623
0.833 0.000 0.418
0.872 0.500 0.863
0.963 0.500 0.174
```